The following is a calculated powder diffractogram of Gd3Th. It was derived from a cell relaxed with GGA-PBE, using Cu Kα X-rays.

Largest 10 diffraction maxima, sorted by position, 2θ = 10–80°:
d (Å)  intensity
4.530  3
2.923  100
2.534  34
2.526  17
1.790  36
1.528  29
1.524  14
1.461  13
1.267  4
1.263  2

Atomic structure:
Unit cell a=5.068 b=5.068 c=10.103 alpha=90.00 beta=90.00 gamma=90.00
Space group I4/mmm (No. 139)
One atom of each set of equivalent atoms:
1 Gd 0.000 0.000 0.000
2 Gd 0.000 0.500 0.250
3 Th 0.000 0.000 0.500


The following is a calculated powder diffractogram of GdTl3. It was derived from a cell relaxed with GGA-PBE, using Cu Kα X-rays.

Largest 8 diffraction maxima, sorted by position, 2θ = 10–80°:
d (Å)  intensity
4.758  1
3.364  1
2.747  100
2.379  50
2.128  1
1.682  36
1.435  42
1.373  12

Atomic structure:
Unit cell a=4.758 b=4.758 c=4.758 alpha=90.00 beta=90.00 gamma=90.00
Space group Pm-3m (No. 221)
One atom of each set of equivalent atoms:
1 Gd 0.000 0.000 0.000
2 Tl 0.000 0.500 0.500


The following is a calculated powder diffractogram of GdTlZn. It was derived from a cell relaxed with GGA-PBE, using Cu Kα X-rays.

Largest 10 diffraction maxima, sorted by position, 2θ = 10–80°:
d (Å)  intensity
3.571  38
2.743  100
2.352  77
2.114  20
1.786  28
1.457  21
1.422  27
1.394  8
1.358  14
1.307  9

Atomic structure:
Unit cell a=4.7049 b=4.7049 c=7.4194 alpha=90.00 beta=90.00 gamma=120.00
Space group P6_3mc (No. 186)
One atom of each set of equivalent atoms:
1 Gd 0.0000 0.0000 0.0000
2 Tl 0.3333 0.6667 0.2220
3 Zn 0.3333 0.6667 0.8027


The following is a calculated powder diffractogram of Gd2Y3Tm3. It was derived from a cell relaxed with GGA-PBE, using Cu Kα X-rays.

Largest 10 diffraction maxima, sorted by position, 2θ = 10–80°:
d (Å)  intensity
5.639  5
3.127  27
2.819  24
2.734  100
2.094  17
1.805  19
1.611  20
1.520  22
1.506  16
1.202  8

Atomic structure:
Unit cell a=7.2205 b=7.2205 c=5.6389 alpha=90.00 beta=90.00 gamma=120.00
Space group P-6m2 (No. 187)
One atom of each set of equivalent atoms:
1 Gd 0.0000 0.0000 0.0000
2 Gd 0.3333 0.6667 0.5000
3 Y 0.5007 0.0015 0.0000
4 Tm 0.3348 0.1674 0.5000


The following is a calculated powder diffractogram of GdY2Tm. It was derived from a cell relaxed with GGA-PBE, using Cu Kα X-rays.

Largest 10 diffraction maxima, sorted by position, 2θ = 10–80°:
d (Å)  intensity
3.138  24
2.819  24
2.742  100
2.097  15
1.813  8
1.812  13
1.612  20
1.524  22
1.512  16
1.205  8

Atomic structure:
Unit cell a=5.638 b=12.550 c=7.250 alpha=90.00 beta=90.00 gamma=90.00
Space group Ama2 (No. 40)
One atom of each set of equivalent atoms:
1 Gd 0.250 0.166 0.000
2 Y 0.250 0.166 0.501
3 Y 0.250 0.417 0.751
4 Tm 0.250 0.417 0.250


The following is a calculated powder diffractogram of GdY2Tm. It was derived from a cell relaxed with GGA-PBE, using Cu Kα X-rays.

Largest 10 diffraction maxima, sorted by position, 2θ = 10–80°:
d (Å)  intensity
4.196  7
3.140  24
2.819  24
2.743  100
2.098  16
1.813  14
1.613  20
1.525  22
1.512  16
1.205  8

Atomic structure:
Unit cell a=7.248 b=12.563 c=5.639 alpha=90.00 beta=90.00 gamma=90.00
Space group Cmcm (No. 63)
One atom of each set of equivalent atoms:
1 Gd 0.000 0.167 0.250
2 Y 0.249 0.417 0.250
3 Tm 0.000 0.334 0.750


The following is a calculated powder diffractogram of GdZrW. It was derived from a cell relaxed with GGA-PBE, using Cu Kα X-rays.

Largest 10 diffraction maxima, sorted by position, 2θ = 10–80°:
d (Å)  intensity
3.853  13
3.337  40
2.360  100
2.012  6
1.927  12
1.668  17
1.531  3
1.492  16
1.362  35
1.284  2

Atomic structure:
Unit cell a=6.674 b=6.674 c=6.674 alpha=90.00 beta=90.00 gamma=90.00
Space group F-43m (No. 216)
One atom of each set of equivalent atoms:
1 Gd 0.000 0.000 0.000
2 Zr 0.250 0.250 0.250
3 W 0.000 0.000 0.500


The following is a calculated powder diffractogram of GdZn8. It was derived from a cell relaxed with GGA-PBE, using Cu Kα X-rays.

Largest 10 diffraction maxima, sorted by position, 2θ = 10–80°:
d (Å)  intensity
7.836  67
4.524  30
2.962  36
2.706  19
2.558  19
2.262  100
2.227  73
1.736  27
1.587  23
1.299  23

Atomic structure:
Unit cell a=9.0486 b=9.0486 c=2.7061 alpha=90.00 beta=90.00 gamma=120.00
Space group P6/mmm (No. 191)
One atom of each set of equivalent atoms:
1 Gd 0.0000 0.0000 0.0000
2 Zn 0.1755 0.3509 0.5000
3 Zn 0.3333 0.6667 0.5000


The following is a calculated powder diffractogram of Gd3Zn4. It was derived from a cell relaxed with GGA-PBE, using Cu Kα X-rays.

Largest 10 diffraction maxima, sorted by position, 2θ = 10–80°:
d (Å)  intensity
3.940  9
3.192  24
2.911  43
2.458  100
2.293  23
1.801  21
1.681  15
1.387  8
1.355  15
1.353  15

Atomic structure:
Unit cell a=8.8931 b=8.8931 c=4.5852 alpha=90.00 beta=90.00 gamma=120.00
Space group P6_3/m (No. 176)
One atom of each set of equivalent atoms:
1 Gd 0.1002 0.4395 0.2500
2 Zn 0.0359 0.2011 0.7500
3 Zn 0.3333 0.6667 0.7500


The following is a calculated powder diffractogram of Gd4Zr. It was derived from a cell relaxed with GGA-PBE, using Cu Kα X-rays.

Largest 10 diffraction maxima, sorted by position, 2θ = 10–80°:
d (Å)  intensity
3.360  60
3.013  19
2.948  24
2.934  34
2.896  42
2.707  100
2.690  22
2.583  57
2.567  36
1.538  21

Atomic structure:
Unit cell a=6.339 b=9.038 c=5.813 alpha=90.00 beta=112.23 gamma=90.00
Space group P2/c (No. 13)
One atom of each set of equivalent atoms:
1 Gd 0.192 0.175 0.066
2 Gd 0.243 0.416 0.529
3 Zr 0.500 0.096 0.750


The following is a calculated powder diffractogram of HoGeH2O4. It was derived from a cell relaxed with GGA-PBE, using Cu Kα X-rays.

Largest 10 diffraction maxima, sorted by position, 2θ = 10–80°:
d (Å)  intensity
4.928  34
3.548  100
2.828  95
2.520  17
2.498  16
1.880  40
1.873  38
1.774  14
1.581  11
1.542  16

Atomic structure:
Unit cell a=9.992 b=10.079 c=6.848 alpha=90.00 beta=90.00 gamma=90.00
Space group Fdd2 (No. 43)
One atom of each set of equivalent atoms:
1 Ho 0.000 0.000 0.000
2 Ge 0.000 0.000 0.537
3 H 0.043 0.242 0.616
4 O 0.061 0.377 0.218
5 O 0.115 0.307 0.578


The following is a calculated powder diffractogram of LuGeH2O4. It was derived from a cell relaxed with GGA-PBE, using Cu Kα X-rays.

Largest 10 diffraction maxima, sorted by position, 2θ = 10–80°:
d (Å)  intensity
4.906  41
3.503  100
2.823  97
2.477  31
1.862  75
1.751  15
1.566  21
1.542  15
1.488  18
1.276  17

Atomic structure:
Unit cell a=9.901 b=9.913 c=6.872 alpha=90.00 beta=90.00 gamma=90.00
Space group Fdd2 (No. 43)
One atom of each set of equivalent atoms:
1 Lu 0.000 0.000 0.000
2 Ge 0.000 0.000 0.455
3 H 0.004 0.209 0.622
4 O 0.064 0.364 0.155
5 O 0.120 0.066 0.270